KTm2CuO4: computed powder X-ray diffraction pattern (Cu Ka), based on DFT lattice parameters and positions (PBE).
Intensities are scaled so that the largest is 100.

Cell and atoms:
```
KTm2CuO4
1.0
1.7038 -5.7411 0.0000
1.7038 5.7411 0.0000
0.0000 0.0000 11.6945
K Tm Cu O
2 4 2 8
Cartesian
1.7038 4.6055 8.7709
1.7038 -4.6055 2.9236
1.7038 1.5258 6.5573
1.7038 1.5258 10.9845
1.7038 -1.5258 0.7100
1.7038 -1.5258 5.1372
1.7038 3.6944 2.9236
1.7038 -3.6944 8.7709
0.0000 0.0000 0.0000
0.0000 0.0000 5.8473
1.7038 2.8138 1.1180
1.7038 2.8138 4.7293
1.7038 0.8877 8.7709
1.7038 -0.8877 2.9236
1.7038 -2.8138 6.9653
1.7038 -2.8138 10.5765
```

Top 10 peaks for 2θ from 15° to 90°, in order of falling intensity:
| 2θ/deg | I_rel |
| --- | --- |
| 27.66 | 100 |
| 17.21 | 98 |
| 38.58 | 97 |
| 31.37 | 74 |
| 35.86 | 70 |
| 15.15 | 56 |
| 31.16 | 55 |
| 41.70 | 54 |
| 53.56 | 51 |
| 47.80 | 37 |